1.
For Mn3AlF15, a cell relaxed with PBE+U gives the computed powder diffraction line list in this record (Cu Kα, 1.54184 Å).
Peak positions follow from Bragg's law for the DFT cell and can differ from measured ones.

```
Mn3AlF15
1.0
5.701 0.000 0.000
0.000 10.607 0.000
-2.572 0.000 8.879
Mn Al F
6 2 30
direct
0.000 0.000 0.000
0.000 0.500 0.000
0.003 0.001 0.332
0.003 0.499 0.332
0.997 0.501 0.668
0.997 0.999 0.668
0.469 0.750 0.747
0.531 0.250 0.253
0.120 0.097 0.181
0.120 0.403 0.181
0.122 0.093 0.524
0.122 0.407 0.524
0.125 0.091 0.859
0.125 0.409 0.859
0.270 0.590 0.378
0.270 0.910 0.378
0.272 0.592 0.047
0.272 0.908 0.047
0.276 0.616 0.712
0.276 0.884 0.712
0.356 0.250 0.719
0.387 0.250 0.388
0.388 0.250 0.072
0.612 0.750 0.928
0.613 0.750 0.612
0.644 0.750 0.281
0.724 0.116 0.288
0.724 0.384 0.288
0.728 0.092 0.953
0.728 0.408 0.953
0.730 0.090 0.622
0.730 0.410 0.622
0.875 0.591 0.141
0.875 0.909 0.141
0.878 0.593 0.476
0.878 0.907 0.476
0.880 0.597 0.819
0.880 0.903 0.819
```

Principal peaks in the range 10° ≤ 2θ ≤ 90°, low angle first:
2theta, I (rel.)
16.19, 48
16.72, 43
23.35, 100
30.07, 12
45.91, 19
47.75, 14



2.
For Li4TiCo3O8, a cell relaxed with PBE+U gives the computed powder diffraction line list in this record (Cu Kα, 1.54184 Å).
Peak positions follow from Bragg's law for the DFT cell and can differ from measured ones.

```
Li4TiCo3O8
1.0
5.844 0.000 0.000
2.918 5.184 0.000
2.844 1.749 9.631
Li Ti Co O
8 2 6 16
direct
0.000 0.000 0.000
0.000 0.491 0.504
0.251 0.244 0.749
0.252 0.751 0.247
0.505 0.497 0.497
0.507 0.996 0.994
0.758 0.243 0.748
0.759 0.747 0.247
0.264 0.243 0.253
0.752 0.748 0.741
0.002 0.499 0.998
0.006 0.996 0.500
0.251 0.742 0.752
0.498 0.504 0.993
0.505 0.998 0.498
0.758 0.252 0.246
0.107 0.632 0.625
0.114 0.142 0.131
0.127 0.109 0.613
0.139 0.600 0.125
0.366 0.375 0.888
0.371 0.895 0.364
0.396 0.366 0.359
0.397 0.856 0.873
0.620 0.141 0.132
0.628 0.628 0.630
0.638 0.100 0.633
0.647 0.591 0.120
0.868 0.393 0.870
0.873 0.916 0.372
0.877 0.851 0.874
0.894 0.362 0.362
```

Principal peaks in the range 10° ≤ 2θ ≤ 90°, low angle first:
2theta, I (rel.)
18.17, 100
35.60, 14
42.99, 27
43.31, 26
43.63, 25
47.33, 14